This entry pairs a crystal structure of RbDyP2O7 with its computed powder XRD pattern. Radiation: Cu Kα X-rays. Structure: a DFT-relaxed cell (PBE, the Materials Project).
Kinematic intensities with the Lorentz-polarization factor, no thermal factor.

Peak list (10 most intense, 2θ from 5° to 70°, by angle)
2θ (°)	I_rel
14.14	38
15.57	43
20.90	46
22.45	30
23.45	29
26.84	66
27.90	52
28.07	100
31.57	25
54.14	26

Cell and atoms:
```
RbDyP2O7
1.0
7.889 0.000 0.000
0.000 11.083 0.000
-2.417 0.000 8.504
Rb Dy P O
4 4 8 28
Cartesian
1.300 2.015 0.489
0.091 3.526 4.741
5.381 7.557 3.763
4.172 9.068 8.015
1.247 6.650 2.185
0.039 9.975 6.437
5.433 1.108 2.067
4.224 4.433 6.319
-0.947 6.628 7.000
0.262 9.996 2.747
1.746 7.019 5.877
2.954 9.606 1.625
2.518 1.477 6.879
3.726 4.064 2.627
5.210 1.087 5.757
6.418 4.455 1.505
-1.701 5.570 6.176
-0.492 11.054 1.924
-1.198 8.040 6.439
0.011 8.584 2.186
-1.233 6.543 8.485
-0.025 10.082 4.232
0.634 6.267 6.819
1.843 10.357 2.567
1.330 6.747 4.432
2.539 9.877 0.180
1.190 0.815 6.515
2.398 4.726 2.262
2.954 8.126 2.024
1.746 8.498 6.276
3.726 2.585 2.228
2.518 2.957 6.481
3.073 6.357 6.242
4.282 10.268 1.990
2.933 1.206 8.325
4.142 4.336 4.073
3.629 0.726 5.937
4.838 4.816 1.685
5.496 1.001 4.272
6.705 4.540 0.020
5.461 2.499 6.318
6.670 3.043 2.066
5.964 0.028 6.581
7.173 5.513 2.328
```

This entry pairs a crystal structure of Zr5Pt3 with its computed powder XRD pattern. Radiation: Cu Kα X-rays. Structure: a DFT-relaxed cell (PBE, the Materials Project).
Kinematic intensities with the Lorentz-polarization factor, no thermal factor.

Peak list (10 most intense, 2θ from 5° to 70°, by angle)
2θ (°)	I_rel
12.34	19
27.06	35
32.97	39
37.04	100
37.61	49
39.65	62
41.68	15
46.94	14
48.73	33
61.54	23

Cell and atoms:
```
Zr5Pt3
1.0
7.168 -4.147 0.000
7.168 4.147 0.000
0.000 0.000 5.437
Zr Pt
10 6
Cartesian
8.925 -3.129 4.078
5.410 3.129 1.359
8.925 3.129 1.359
7.168 2.113 4.078
4.779 0.000 0.000
4.779 0.000 2.719
9.556 0.000 0.000
9.556 0.000 2.719
5.410 -3.129 4.078
7.168 -2.113 1.359
9.984 -2.515 1.359
4.351 2.515 4.078
9.984 2.515 4.078
7.168 0.889 1.359
4.351 -2.515 1.359
7.168 -0.889 4.078
```

This entry pairs a crystal structure of Mg14TiBiO16 with its computed powder XRD pattern. Radiation: Cu Kα X-rays. Structure: a DFT-relaxed cell (PBE, the Materials Project).
Kinematic intensities with the Lorentz-polarization factor, no thermal factor.

Peak list (10 most intense, 2θ from 5° to 70°, by angle)
2θ (°)	I_rel
10.08	100
14.28	36
20.16	35
22.54	40
22.67	40
30.49	53
35.37	51
40.88	53
41.09	51
41.23	51

Cell and atoms:
```
Mg14TiBiO16
1.0
4.415 0.000 0.000
0.000 8.758 0.000
0.000 0.000 8.787
Mg Ti Bi O
14 1 1 16
Cartesian
0.000 0.000 0.000
0.000 2.139 2.120
0.000 2.139 6.667
0.000 4.379 0.000
0.000 6.619 2.120
0.000 6.619 6.667
2.207 0.000 2.164
2.207 0.000 6.623
2.207 2.087 4.394
2.207 2.172 0.000
2.207 4.379 2.077
2.207 4.379 6.710
2.207 6.586 0.000
2.207 6.671 4.394
0.000 0.000 4.394
0.000 4.379 4.394
0.000 0.000 2.133
0.000 0.000 6.654
0.000 2.061 4.394
0.000 2.149 0.000
0.000 4.379 1.978
0.000 4.379 6.809
0.000 6.608 0.000
0.000 6.697 4.394
2.207 0.000 0.000
2.207 0.000 4.394
2.207 2.187 2.209
2.207 2.187 6.578
2.207 4.379 0.000
2.207 4.379 4.394
2.207 6.571 2.209
2.207 6.571 6.578
```

This entry pairs a crystal structure of RbC2O2 with its computed powder XRD pattern. Radiation: Cu Kα X-rays. Structure: a DFT-relaxed cell (PBE, the Materials Project).
Kinematic intensities with the Lorentz-polarization factor, no thermal factor.

Peak list (10 most intense, 2θ from 5° to 70°, by angle)
2θ (°)	I_rel
15.01	19
24.62	20
24.82	100
25.09	16
27.22	65
32.14	17
36.14	48
36.44	29
38.17	14
39.67	22

Cell and atoms:
```
RbC2O2
1.0
5.570 -3.481 0.000
5.570 3.481 0.000
-0.073 0.000 4.546
Rb C O
2 4 4
Cartesian
1.739 0.000 1.357
9.329 0.000 3.189
4.993 0.740 0.464
6.075 0.740 4.082
4.993 -0.740 0.464
6.075 -0.740 4.082
4.293 1.643 1.007
6.775 1.643 3.538
4.293 -1.643 1.007
6.775 -1.643 3.538
```

This entry pairs a crystal structure of Pr2Ge3 with its computed powder XRD pattern. Radiation: Cu Kα X-rays. Structure: a DFT-relaxed cell (PBE, the Materials Project).
Kinematic intensities with the Lorentz-polarization factor, no thermal factor.

Peak list (10 most intense, 2θ from 5° to 70°, by angle)
2θ (°)	I_rel
24.61	12
28.05	28
32.70	100
37.66	14
37.95	32
42.72	19
43.76	17
49.05	13
58.45	18
62.82	12

Cell and atoms:
```
Pr2Ge3
1.0
4.137 0.000 0.000
0.000 4.233 0.000
0.000 0.000 14.468
Pr Ge
4 6
Cartesian
0.000 0.000 0.000
0.000 2.116 3.639
2.069 0.000 10.872
2.069 2.116 7.234
0.000 0.000 6.141
0.000 0.000 8.621
0.000 2.116 11.857
2.069 0.000 4.623
2.069 2.116 1.388
2.069 2.116 13.375
```

This entry pairs a crystal structure of MgMo2WSe4S2 with its computed powder XRD pattern. Radiation: Cu Kα X-rays. Structure: a DFT-relaxed cell (PBE, the Materials Project).
Kinematic intensities with the Lorentz-polarization factor, no thermal factor.

Peak list (10 most intense, 2θ from 5° to 70°, by angle)
2θ (°)	I_rel
9.40	100
11.75	13
31.46	11
32.89	11
34.62	12
35.71	9
39.71	15
41.27	19
48.36	8
56.00	10

Cell and atoms:
```
MgMo2WSe4S2
1.0
2.845 -1.642 0.000
2.845 1.642 0.000
-0.070 0.000 37.646
Mg Mo W Se S
1 2 1 4 2
Cartesian
0.000 0.000 0.000
1.869 0.000 12.641
3.784 0.000 4.194
1.833 0.000 32.535
3.764 0.000 10.952
3.729 0.000 30.838
3.768 0.000 14.328
3.731 0.000 34.237
1.889 0.000 2.655
1.885 0.000 5.714
```